Calculated powder XRD pattern of Ba2UCuO6 for Cu Kα, from a cell relaxed with GGA-PBE.
Intensities are scaled so that the largest is 100.

The 10 most intense peaks (2θ from 10° to 80°), by angle:
2θ (°), d_spacing, Rel. int.
16.37, 5.414, 51
22.05, 4.031, 78
24.36, 3.653, 100
33.09, 2.707, 71
34.72, 2.583, 56
41.52, 2.175, 55
51.81, 1.765, 25
56.31, 1.634, 23
58.05, 1.589, 24
61.21, 1.514, 30

Atomic structure:
```
Ba2UCuO6
1.0
-3.6534 3.6534 4.0306
3.6534 -3.6534 4.0306
3.6534 3.6534 -4.0306
Ba U Cu O
2 1 1 6
Direct
0.0000 0.5000 0.5000 Ba
0.5000 0.0000 0.5000 Ba
0.0000 0.0000 0.0000 U
0.5000 0.5000 0.0000 Cu
0.1959 0.1959 0.3918 O
0.1959 0.8041 0.0000 O
0.2814 0.2814 0.0000 O
0.7186 0.7186 0.0000 O
0.8041 0.1959 0.0000 O
0.8041 0.8041 0.6082 O
```